Starting from a structure optimized by DFT (PBE+U), the PXRD pattern of Ba3NiAs2O8 was simulated for Cu Kα (weighted mean of Kα1 and Kα2).

Largest 10 diffraction maxima, by intensity, 10 to 90 degrees two-theta:
- 2θ = 30.5°, I = 100
- 2θ = 29.4°, I = 79
- 2θ = 42.8°, I = 43
- 2θ = 53.5°, I = 30
- 2θ = 54.2°, I = 19
- 2θ = 63.4°, I = 16
- 2θ = 21.0°, I = 15
- 2θ = 71.4°, I = 13
- 2θ = 69.7°, I = 13
- 2θ = 51.4°, I = 12

Atomic structure:
Cell: 5.8651 5.8651 7.5950 Å, 90.00 90.00 120.00°
Space group P-3m1 (No. 164)
Unique sites:
1 Ba 0.0000 0.0000 0.0000 [1 per cell]
2 Ba 0.3333 0.6667 0.6486 [2 per cell]
3 Ni 0.0000 0.0000 0.5000 [1 per cell]
4 As 0.3333 0.6667 0.2183 [2 per cell]
5 O 0.1668 0.3335 0.3205 [6 per cell]
6 O 0.3333 0.6667 0.9829 [2 per cell]